Entry 1:
This entry pairs a crystal structure of CsHf3Bi3 with its simulated X-ray diffraction stick pattern. Radiation: CuKα. Structure: a GGA-PBE-relaxed structure.
Kinematic intensities with the Lorentz-polarization factor, no thermal factor.

Cell and atoms:
```
CsHf3Bi3
1.0
10.7739 0.0000 0.0000
-5.3870 9.3305 0.0000
0.0000 0.0000 5.0233
Cs Hf Bi
2 6 6
direct
0.3333 0.6667 0.2500
0.6667 0.3333 0.7500
0.0249 0.1882 0.2500
0.1634 0.9751 0.2500
0.1882 0.1634 0.7500
0.8118 0.8366 0.2500
0.8366 0.0249 0.7500
0.9751 0.8118 0.7500
0.0462 0.3521 0.7500
0.3060 0.9538 0.7500
0.3521 0.3060 0.2500
0.6479 0.6940 0.7500
0.6940 0.0462 0.2500
0.9538 0.6479 0.2500
```

Principal peaks in the range 2θ = 10–80°, sorted by position:
- 2θ = 24.23°, rel. 511, hkl 1 1 1
- 2θ = 25.25°, rel. 426, hkl 2 1 0
- 2θ = 28.70°, rel. 311, hkl 3 0 0
- 2θ = 30.98°, rel. 689, hkl 2 1 1
- 2θ = 35.75°, rel. 459, hkl 0 0 2
- 2θ = 37.90°, rel. 1000, hkl 2 2 1
- 2θ = 39.16°, rel. 467, hkl 3 1 1
- 2θ = 46.09°, rel. 281, hkl 3 2 1
- 2θ = 65.64°, rel. 291, hkl 2 2 3
- 2θ = 73.51°, rel. 261, hkl 5 3 1

=====

Entry 2:
This entry pairs a crystal structure of CsHgBi with its simulated X-ray diffraction stick pattern. Radiation: CuKα. Structure: a GGA-PBE-relaxed structure.
Kinematic intensities with the Lorentz-polarization factor, no thermal factor.

Cell and atoms:
```
CsHgBi
1.0
4.9579 0.0000 0.0000
2.4787 6.8860 0.0000
2.4754 2.3480 7.8483
Cs Hg Bi
2 2 2
direct
0.0600 0.1555 0.2255
0.9400 0.8445 0.7745
0.3656 0.6260 0.1420
0.6344 0.3740 0.8580
0.2824 0.3667 0.5675
0.7176 0.6333 0.4325
```

Principal peaks in the range 2θ = 10–80°, sorted by position:
- 2θ = 13.42°, rel. 554, hkl 0 1 0
- 2θ = 26.13°, rel. 361, hkl 0 2 1
- 2θ = 26.46°, rel. 427, hkl 1 2 1
- 2θ = 26.93°, rel. 1000, hkl 1 0 2
- 2θ = 28.79°, rel. 535, hkl 1 2 2
- 2θ = 32.31°, rel. 236, hkl 0 2 -1
- 2θ = 33.02°, rel. 317, hkl 0 1 3
- 2θ = 35.02°, rel. 213, hkl -1 1 2
- 2θ = 35.20°, rel. 274, hkl 1 2 -1
- 2θ = 36.24°, rel. 367, hkl 2 1 1